Record 1
For Li2CoSiO4, DFT lattice parameters and positions (GGA+U) gives the calculated powder diffractogram in this record (Cu Kα).
No peak broadening, texture or thermal motion is included.

Top 10 peaks for 15 to 90 degrees two-theta, most intense first:
- 21.91°, rel. 1000
- 33.82°, rel. 484
- 33.06°, rel. 449
- 60.03°, rel. 299
- 47.54°, rel. 170
- 27.30°, rel. 150
- 36.79°, rel. 143
- 24.19°, rel. 132
- 41.22°, rel. 131
- 58.56°, rel. 89

Structural model:
Cell lengths 5.3039, 5.3039, 6.3046 Å; angles 90.00, 90.00, 92.13 degrees
Atoms (fractional coordinates):
1 Li 0.1870 0.8130 0.7500
2 Li 0.3187 0.3187 0.0000
3 Li 0.6813 0.6813 0.5000
4 Li 0.8130 0.1870 0.2500
5 Co 0.1787 0.8213 0.2500
6 Co 0.8213 0.1787 0.7500
7 Si 0.3241 0.3241 0.5000
8 Si 0.6759 0.6759 0.0000
9 O 0.1954 0.1983 0.2840
10 O 0.1983 0.1954 0.7160
11 O 0.2917 0.6335 0.4990
12 O 0.3665 0.7083 0.0010
13 O 0.6335 0.2917 0.5010
14 O 0.7083 0.3665 0.9990
15 O 0.8017 0.8046 0.2160
16 O 0.8046 0.8017 0.7840



Record 2
For FeOF, DFT lattice parameters and positions (GGA+U) gives the calculated powder diffractogram in this record (Cu Kα).
No peak broadening, texture or thermal motion is included.

Top 10 peaks for 15 to 90 degrees two-theta, most intense first:
- 26.61°, rel. 1000
- 34.51°, rel. 562
- 52.16°, rel. 312
- 52.35°, rel. 273
- 39.55°, rel. 194
- 66.30°, rel. 123
- 66.16°, rel. 112
- 59.48°, rel. 100
- 66.65°, rel. 83
- 54.76°, rel. 83

Structural model:
Cell lengths 9.5131, 3.1083, 14.1540 Å; angles 90.00, 90.09, 90.00 degrees
Atoms (fractional coordinates):
1 Fe 0.0000 0.0000 0.0000
2 Fe 0.0012 0.0000 0.3343
3 Fe 0.0019 0.0000 0.6710
4 Fe 0.2488 0.5000 0.5262
5 Fe 0.2512 0.5000 0.1932
6 Fe 0.2527 0.5000 0.8621
7 Fe 0.5034 0.0000 0.3342
8 Fe 0.5040 0.0000 0.0018
9 Fe 0.5333 0.0000 0.6908
10 Fe 0.7480 0.5000 0.8589
11 Fe 0.7514 0.5000 0.5292
12 Fe 0.7521 0.5000 0.1931
13 O 0.1583 0.0000 0.2468
14 O 0.1590 0.0000 0.9127
15 O 0.1648 0.0000 0.5828
16 O 0.4068 0.5000 0.2847
17 O 0.4095 0.5000 0.9503
18 O 0.6108 0.5000 0.7505
19 O 0.6556 0.0000 0.5790
20 O 0.6593 0.0000 0.2463
21 O 0.6622 0.0000 0.9174
22 O 0.9081 0.5000 0.9495
23 O 0.9086 0.5000 0.2837
24 O 0.9117 0.5000 0.6157
25 F 0.1042 0.5000 0.0810
26 F 0.1064 0.5000 0.7462
27 F 0.1071 0.5000 0.4158
28 F 0.3522 0.0000 0.7799
29 F 0.3543 0.0000 0.1163
30 F 0.3573 0.0000 0.4546
31 F 0.4116 0.5000 0.6188
32 F 0.6049 0.5000 0.0820
33 F 0.6045 0.5000 0.4136
34 F 0.8539 0.0000 0.1168
35 F 0.8555 0.0000 0.4498
36 F 0.8626 0.0000 0.7831



Record 3
For MgTi3Fe2CoP6O24, DFT lattice parameters and positions (GGA+U) gives the calculated powder diffractogram in this record (Cu Kα).
No peak broadening, texture or thermal motion is included.

Top 10 peaks for 15 to 90 degrees two-theta, most intense first:
- 20.31°, rel. 1000
- 23.90°, rel. 841
- 23.73°, rel. 445
- 35.57°, rel. 433
- 55.63°, rel. 319
- 32.31°, rel. 151
- 46.12°, rel. 143
- 46.60°, rel. 142
- 32.13°, rel. 142
- 46.30°, rel. 141

Structural model:
Cell lengths 8.7363, 8.7405, 8.7462 Å; angles 60.57, 60.04, 60.04 degrees
Atoms (fractional coordinates):
1 Mg 0.0000 0.0000 0.0000
2 Ti 0.2797 0.1611 0.2816
3 Ti 0.4817 0.5598 0.4790
4 Ti 0.8713 0.3900 0.8708
5 Fe 0.1325 0.6022 0.1352
6 Fe 0.6282 0.1223 0.6238
7 Co 0.7552 0.7342 0.7561
8 P 0.0877 0.8623 0.3771
9 P 0.1841 0.3622 0.8804
10 P 0.3772 0.8633 0.6732
11 P 0.5760 0.3628 0.1820
12 P 0.6742 0.8613 0.0885
13 P 0.8804 0.3621 0.5767
14 O 0.0149 0.5357 0.8254
15 O 0.0440 0.3689 0.3906
16 O 0.0820 0.8187 0.2288
17 O 0.1139 0.2039 0.9321
18 O 0.1529 0.0333 0.2865
19 O 0.1988 0.3736 0.0428
20 O 0.2274 0.8238 0.8674
21 O 0.2335 0.6885 0.4643
22 O 0.2876 0.0335 0.5267
23 O 0.3725 0.3460 0.7184
24 O 0.3886 0.3698 0.2000
25 O 0.4643 0.6882 0.6137
26 O 0.5257 0.9111 0.6713
27 O 0.5271 0.0335 0.1543
28 O 0.5655 0.3510 0.3679
29 O 0.6147 0.6880 0.2354
30 O 0.6254 0.5357 0.0129
31 O 0.6714 0.9084 0.8956
32 O 0.7179 0.3501 0.5638
33 O 0.7546 0.2042 0.1118
34 O 0.8271 0.5358 0.6278
35 O 0.8700 0.8210 0.0824
36 O 0.8912 0.9133 0.5240
37 O 0.9306 0.2044 0.7530



Record 4
For Zn2Ag2Mo3O12, DFT lattice parameters and positions (GGA+U) gives the calculated powder diffractogram in this record (Cu Kα).
No peak broadening, texture or thermal motion is included.

Top 10 peaks for 15 to 90 degrees two-theta, most intense first:
- 27.42°, rel. 1000
- 26.48°, rel. 582
- 26.62°, rel. 332
- 31.78°, rel. 326
- 30.50°, rel. 294
- 25.82°, rel. 248
- 28.76°, rel. 233
- 56.57°, rel. 229
- 29.03°, rel. 214
- 31.02°, rel. 193

Structural model:
Cell lengths 7.1098, 8.8851, 10.4652 Å; angles 106.92, 105.23, 103.91 degrees
Atoms (fractional coordinates):
1 Zn 0.0000 0.0000 0.0000
2 Zn 0.0735 0.4021 0.0409
3 Zn 0.4089 0.1598 0.6239
4 Zn 0.6632 0.2412 0.4142
5 Ag 0.0336 0.7005 0.5185
6 Ag 0.3544 0.5300 0.8499
7 Ag 0.5292 0.7261 0.5765
8 Ag 0.7186 0.8705 0.1908
9 Mo 0.1561 0.2927 0.3538
10 Mo 0.2497 0.8646 0.2812
11 Mo 0.4440 0.9493 0.8860
12 Mo 0.6293 0.4528 0.1541
13 Mo 0.8231 0.5361 0.7582
14 Mo 0.9171 0.1090 0.6859
15 O 0.0135 0.4724 0.8626
16 O 0.0596 0.9286 0.1765
17 O 0.1128 0.2563 0.1668
18 O 0.1534 0.2038 0.6658
19 O 0.2009 0.6474 0.1951
20 O 0.2309 0.5130 0.4470
21 O 0.2550 0.9065 0.4639
22 O 0.2861 0.0120 0.9839
23 O 0.3096 0.7336 0.7643
24 O 0.3611 0.2229 0.4382
25 O 0.3779 0.4328 0.0346
26 O 0.4772 0.0646 0.7742
27 O 0.5029 0.9770 0.2902
28 O 0.5692 0.4239 0.7486
29 O 0.5960 0.3360 0.2648
30 O 0.6943 0.9685 0.0047
31 O 0.7115 0.1785 0.6015
32 O 0.7663 0.6673 0.2733
33 O 0.7863 0.3887 0.0555
34 O 0.8194 0.4945 0.5767
35 O 0.8389 0.8875 0.5947
36 O 0.8701 0.7542 0.8430
37 O 0.9198 0.1968 0.3734
38 O 0.9596 0.1445 0.8725



Record 5
For NaNiO2, DFT lattice parameters and positions (GGA+U) gives the calculated powder diffractogram in this record (Cu Kα).
No peak broadening, texture or thermal motion is included.

Top 10 peaks for 15 to 90 degrees two-theta, most intense first:
- 16.59°, rel. 1000
- 37.85°, rel. 496
- 38.91°, rel. 413
- 39.16°, rel. 387
- 43.67°, rel. 254
- 33.54°, rel. 250
- 49.42°, rel. 183
- 47.90°, rel. 177
- 34.37°, rel. 167
- 49.64°, rel. 146

Structural model:
Cell lengths 2.9636, 2.9708, 10.6972 Å; angles 91.14, 91.15, 118.36 degrees
Atoms (fractional coordinates):
1 Na 0.1636 0.3378 0.2500
2 Na 0.8364 0.6622 0.7500
3 Ni 0.5000 0.0000 0.0000
4 Ni 0.5000 0.0000 0.5000
5 O 0.1553 0.2985 0.5978
6 O 0.2007 0.3452 0.9023
7 O 0.7993 0.6548 0.0977
8 O 0.8447 0.7015 0.4022



Record 6
For KMn8O16, DFT lattice parameters and positions (GGA+U) gives the calculated powder diffractogram in this record (Cu Kα).
No peak broadening, texture or thermal motion is included.

Top 10 peaks for 15 to 90 degrees two-theta, most intense first:
- 28.24°, rel. 1000
- 36.51°, rel. 892
- 17.75°, rel. 779
- 58.79°, rel. 546
- 48.63°, rel. 477
- 67.95°, rel. 371
- 40.87°, rel. 326
- 55.14°, rel. 265
- 35.95°, rel. 262
- 88.59°, rel. 166

Structural model:
Cell lengths 9.9935, 9.9935, 5.8978 Å; angles 90.00, 90.00, 90.00 degrees
Atoms (fractional coordinates):
1 K 0.2500 0.2500 0.1265
2 K 0.7500 0.7500 0.8735
3 Mn 0.0828 0.8984 0.3751
4 Mn 0.0848 0.9002 0.8750
5 Mn 0.0998 0.5848 0.1250
6 Mn 0.1016 0.5828 0.6249
7 Mn 0.3984 0.9172 0.6249
8 Mn 0.4002 0.9152 0.1250
9 Mn 0.4152 0.5998 0.8750
10 Mn 0.4172 0.6016 0.3751
11 Mn 0.5828 0.3984 0.6249
12 Mn 0.5848 0.4002 0.1250
13 Mn 0.5998 0.0848 0.8750
14 Mn 0.6016 0.0828 0.3751
15 Mn 0.8984 0.4172 0.3751
16 Mn 0.9002 0.4152 0.8750
17 Mn 0.9152 0.0998 0.1250
18 Mn 0.9172 0.1016 0.6249
19 O 0.0465 0.0936 0.3726
20 O 0.0467 0.0952 0.8779
21 O 0.0848 0.7071 0.8740
22 O 0.0862 0.7064 0.3750
23 O 0.0936 0.4535 0.3726
24 O 0.0952 0.4533 0.8779
25 O 0.2064 0.9138 0.6250
26 O 0.2071 0.9152 0.1260
27 O 0.2929 0.5848 0.1260
28 O 0.2936 0.5862 0.6250
29 O 0.4048 0.0467 0.8779
30 O 0.4064 0.0465 0.3726
31 O 0.4138 0.7936 0.3750
32 O 0.4152 0.7929 0.8740
33 O 0.4533 0.4048 0.8779
34 O 0.4535 0.4064 0.3726
35 O 0.5465 0.5936 0.6274
36 O 0.5467 0.5952 0.1221
37 O 0.5848 0.2071 0.1260
38 O 0.5862 0.2064 0.6250
39 O 0.5936 0.9535 0.6274
40 O 0.5952 0.9533 0.1221
41 O 0.7064 0.4138 0.3750
42 O 0.7071 0.4152 0.8740
43 O 0.7929 0.0848 0.8740
44 O 0.7936 0.0862 0.3750
45 O 0.9048 0.5467 0.1221
46 O 0.9064 0.5465 0.6274
47 O 0.9138 0.2936 0.6250
48 O 0.9152 0.2929 0.1260
49 O 0.9533 0.9048 0.1221
50 O 0.9535 0.9064 0.6274



Record 7
For NaLiV2O6, DFT lattice parameters and positions (GGA+U) gives the calculated powder diffractogram in this record (Cu Kα).
No peak broadening, texture or thermal motion is included.

Top 10 peaks for 15 to 90 degrees two-theta, most intense first:
- 25.06°, rel. 1000
- 27.64°, rel. 977
- 18.14°, rel. 656
- 32.19°, rel. 484
- 28.31°, rel. 419
- 42.38°, rel. 326
- 29.04°, rel. 319
- 37.70°, rel. 266
- 34.26°, rel. 258
- 26.54°, rel. 250

Structural model:
Cell lengths 6.9555, 6.9555, 5.9118 Å; angles 104.70, 104.70, 83.23 degrees
Atoms (fractional coordinates):
1 Na 0.2135 0.7865 0.7500
2 Na 0.7865 0.2135 0.2500
3 Li 0.4120 0.5880 0.2500
4 Li 0.5880 0.4120 0.7500
5 V 0.1200 0.3039 0.7557
6 V 0.3039 0.1200 0.2557
7 V 0.6961 0.8800 0.7443
8 V 0.8800 0.6961 0.2443
9 O 0.1119 0.5926 0.2969
10 O 0.1441 0.1459 0.4652
11 O 0.1459 0.1441 0.9652
12 O 0.2897 0.4786 0.8558
13 O 0.4074 0.8881 0.2031
14 O 0.4786 0.2897 0.3558
15 O 0.5214 0.7103 0.6442
16 O 0.5926 0.1119 0.7969
17 O 0.7103 0.5214 0.1442
18 O 0.8541 0.8559 0.0348
19 O 0.8559 0.8541 0.5348
20 O 0.8881 0.4074 0.7031



Record 8
For BaV13O18, DFT lattice parameters and positions (GGA+U) gives the calculated powder diffractogram in this record (Cu Kα).
No peak broadening, texture or thermal motion is included.

Top 10 peaks for 15 to 90 degrees two-theta, most intense first:
- 42.12°, rel. 1000
- 43.26°, rel. 465
- 24.04°, rel. 277
- 25.56°, rel. 216
- 61.67°, rel. 165
- 26.90°, rel. 161
- 23.84°, rel. 160
- 61.57°, rel. 151
- 30.92°, rel. 140
- 60.50°, rel. 140

Structural model:
Cell lengths 7.3010, 7.9011, 7.9820 Å; angles 109.99, 108.65, 107.00 degrees
Atoms (fractional coordinates):
1 Ba 0.0000 0.0000 0.0000
2 V 0.0812 0.5138 0.1940
3 V 0.1214 0.2033 0.6925
4 V 0.2430 0.5938 0.6378
5 V 0.3360 0.9404 0.5779
6 V 0.4000 0.6270 0.0517
7 V 0.4270 0.3083 0.5127
8 V 0.5000 0.0000 0.0000
9 V 0.5730 0.6917 0.4873
10 V 0.6000 0.3730 0.9483
11 V 0.6640 0.0596 0.4221
12 V 0.7570 0.4062 0.3622
13 V 0.8786 0.7967 0.3075
14 V 0.9188 0.4862 0.8060
15 O 0.0483 0.6643 0.4484
16 O 0.1044 0.3670 0.9409
17 O 0.1580 0.0722 0.4409
18 O 0.2149 0.7266 0.8953
19 O 0.2833 0.4451 0.3847
20 O 0.3132 0.1112 0.8349
21 O 0.3886 0.7809 0.3231
22 O 0.3940 0.4594 0.7767
23 O 0.4799 0.1699 0.2703
24 O 0.5201 0.8301 0.7297
25 O 0.6060 0.5406 0.2233
26 O 0.6114 0.2191 0.6769
27 O 0.6868 0.8888 0.1651
28 O 0.7167 0.5549 0.6153
29 O 0.7851 0.2734 0.1047
30 O 0.8420 0.9278 0.5591
31 O 0.8956 0.6330 0.0591
32 O 0.9517 0.3357 0.5516